Diffraction record for ErZr3Ir2. The powder XRD pattern is computed, not measured: it uses a structure optimized by DFT (GGA-PBE) and Cu Kα (weighted mean of Kα1 and Kα2).

Structural model:
```
12
Lattice="4.5333 0.0000 0.0000 0.0000 8.2638 0.0000 0.0000 0.0000 6.8489" Properties=species:S:1:pos:R:3 pbc="T T T"
Er 0.0000 0.6001 0.0000
Er 0.0000 7.6637 3.4245
Zr 0.0000 2.7676 4.3649
Zr 0.0000 5.4962 0.9404
Zr 2.2666 1.4316 2.3329
Zr 2.2666 3.4984 6.7050
Zr 2.2666 4.7654 3.2806
Zr 2.2666 6.8322 5.7574
Ir 0.0000 2.8369 1.6649
Ir 0.0000 5.4269 5.0894
Ir 2.2666 1.3689 5.0322
Ir 2.2666 6.8949 1.6078
```

The 8 most intense peaks (2θ from 10° to 90°), low angle first:
| two_theta | d [Å] | intensity |
| --- | --- | --- |
| 25.92 | 3.438 | 39 |
| 32.09 | 2.789 | 57 |
| 34.00 | 2.637 | 30 |
| 34.57 | 2.594 | 100 |
| 38.23 | 2.354 | 67 |
| 39.77 | 2.267 | 56 |
| 45.84 | 1.979 | 32 |
| 46.83 | 1.940 | 31 |

***

Diffraction record for K2AsH13O10. The powder XRD pattern is computed, not measured: it uses a structure optimized by DFT (GGA-PBE) and Cu Kα (weighted mean of Kα1 and Kα2).

Structural model:
```
52
Lattice="4.6470 -4.7435 0.0000 4.6470 4.7435 0.0000 -0.8697 0.0000 12.8395" Properties=species:S:1:pos:R:3 pbc="T T T"
K 4.2122 3.5531 6.4197
K 5.6680 2.3570 2.8033
K 4.6470 -3.5531 0.0000
K 5.2331 -2.3570 9.2231
As 4.7686 1.4843 9.7113
As 5.2034 -1.4843 3.2915
H 4.2337 4.3272 9.9855
H 1.6723 1.2335 6.2830
H 2.4963 1.3142 2.2190
H 2.5005 1.3447 4.3965
H 2.6136 1.8902 11.6731
H 3.0732 1.3401 0.7506
H 4.6261 2.6541 12.4527
H 3.1569 0.5542 8.3362
H 1.2375 -1.2335 12.7027
H 3.6112 0.3776 5.0158
H 2.0614 -1.3142 8.6388
H 2.0656 -1.3447 10.8162
H 3.5917 -0.5542 1.9165
H 3.1764 -0.3776 11.4356
H 2.6384 -1.3401 7.1703
H 3.0484 -1.8902 5.2533
H 6.7717 1.6804 5.9000
H 5.3122 0.3252 12.4122
H 6.1197 0.2048 7.4763
H 5.7471 -0.3252 5.9924
H 6.5546 -0.2048 1.0566
H 7.4517 0.3058 9.8241
H 5.0610 -2.6541 6.0329
H 7.8866 -0.3058 3.4044
H 6.3368 -1.6804 12.3197
H 4.6685 -4.3272 3.5657
O 4.1520 4.3416 3.7893
O 1.7122 2.0971 12.0463
O 3.1408 1.2407 5.1499
O 3.2849 1.0181 1.6694
O 3.3667 1.5190 8.6057
O 5.8489 3.3405 0.2290
O 5.4073 3.0687 9.6022
O 4.1652 1.1748 11.2974
O 2.8501 -1.0181 8.0891
O 2.1470 -2.0971 5.6266
O 2.7060 -1.2407 11.5696
O 3.8016 -1.5190 2.1860
O 4.6001 -1.1748 4.8776
O 5.8376 0.2765 9.1664
O 6.2725 -0.2765 2.7466
O 6.4443 0.1350 6.5306
O 6.8791 -0.1350 0.1109
O 3.7171 -4.3416 10.2091
O 5.8421 -3.0687 3.1825
O 5.4140 -3.3405 6.6487
```

The 8 most intense peaks (2θ from 10° to 90°), low angle first:
| two_theta | d [Å] | intensity |
| --- | --- | --- |
| 13.79 | 6.420 | 62 |
| 14.74 | 6.012 | 63 |
| 18.75 | 4.732 | 64 |
| 19.14 | 4.636 | 69 |
| 19.95 | 4.450 | 66 |
| 27.79 | 3.210 | 62 |
| 28.11 | 3.174 | 100 |
| 30.78 | 2.905 | 57 |

***

Diffraction record for Cs2InBiH. The powder XRD pattern is computed, not measured: it uses a structure optimized by DFT (GGA-PBE) and Cu Kα (weighted mean of Kα1 and Kα2).

Structural model:
```
10
Lattice="7.0794 0.0000 0.0000 0.0000 5.7462 0.0000 -0.4566 0.0000 11.4008" Properties=species:S:1:pos:R:3 pbc="T T T"
Cs 1.7017 1.4366 0.6519
Cs 1.5583 4.3097 5.0412
Cs 5.0645 1.4366 6.3597
Cs 4.9212 4.3097 10.7489
In 1.3741 4.3097 8.9474
In 5.2488 1.4366 2.4535
Bi 1.5160 1.4366 8.1352
Bi 5.1069 4.3097 3.2656
H 1.1184 4.3097 10.8701
H 5.5044 1.4366 0.5308
```

The 8 most intense peaks (2θ from 10° to 90°), low angle first:
| two_theta | d [Å] | intensity |
| --- | --- | --- |
| 14.47 | 6.121 | 48 |
| 15.00 | 5.906 | 51 |
| 21.96 | 4.047 | 81 |
| 25.18 | 3.537 | 100 |
| 26.17 | 3.405 | 60 |
| 27.08 | 3.293 | 59 |
| 31.13 | 2.873 | 59 |
| 40.45 | 2.230 | 57 |

***

Diffraction record for Ho3Ga5Au6. The powder XRD pattern is computed, not measured: it uses a structure optimized by DFT (GGA-PBE) and Cu Kα (weighted mean of Kα1 and Kα2).

Structural model:
```
28
Lattice="4.3424 0.0000 0.0000 0.0000 13.4799 0.0000 0.0000 0.0000 9.4394" Properties=species:S:1:pos:R:3 pbc="T T T"
Ho 1.0856 0.9775 2.2673
Ho 1.0856 5.7625 2.2673
Ho 1.0856 10.1099 2.2812
Ho 3.2568 3.3700 7.1582
Ho 3.2568 7.7174 7.1721
Ho 3.2568 12.5024 7.1721
Ga 1.0856 1.1171 8.0822
Ga 1.0856 5.6228 8.0822
Ga 1.0856 8.6412 5.1669
Ga 1.0856 10.1099 7.5048
Ga 1.0856 11.5786 5.1669
Ga 3.2568 1.9013 4.2725
Ga 3.2568 3.3700 1.9346
Ga 3.2568 4.8387 4.2725
Ga 3.2568 7.8571 1.3572
Ga 3.2568 12.3628 1.3572
Au 1.0856 0.6998 5.5709
Au 1.0856 3.3700 0.2095
Au 1.0856 3.3700 4.7380
Au 1.0856 6.0402 5.5709
Au 1.0856 8.0308 9.4254
Au 1.0856 12.1891 9.4254
Au 3.2568 1.2908 0.0140
Au 3.2568 5.4491 0.0140
Au 3.2568 7.4397 3.8684
Au 3.2568 10.1099 4.7014
Au 3.2568 10.1099 9.2298
Au 3.2568 12.7801 3.8684
```

The 8 most intense peaks (2θ from 10° to 90°), low angle first:
| two_theta | d [Å] | intensity |
| --- | --- | --- |
| 30.15 | 2.965 | 18 |
| 34.44 | 2.604 | 100 |
| 34.81 | 2.577 | 20 |
| 35.22 | 2.548 | 26 |
| 39.34 | 2.290 | 20 |
| 40.14 | 2.247 | 23 |
| 41.60 | 2.171 | 39 |
| 66.55 | 1.405 | 20 |

***

Diffraction record for Ce3Br3N. The powder XRD pattern is computed, not measured: it uses a structure optimized by DFT (GGA-PBE) and Cu Kα (weighted mean of Kα1 and Kα2).

Structural model:
```
14
Lattice="8.4341 0.0000 0.0000 0.0000 3.8024 0.0000 -0.6401 0.0000 11.3798" Properties=species:S:1:pos:R:3 pbc="T T T"
Ce 0.5124 0.9506 4.5003
Ce 0.4570 0.9506 9.4342
Ce 2.2226 2.8518 7.0347
Ce 5.5714 0.9506 4.3451
Ce 7.3369 2.8518 1.9456
Ce 7.2816 2.8518 6.8795
Br 1.1546 0.9506 1.3645
Br 2.6731 2.8518 9.9698
Br 3.0131 2.8518 4.1142
Br 4.7808 0.9506 7.2657
Br 5.1209 0.9506 1.4101
Br 6.6394 2.8518 10.0154
N 0.5609 0.9506 6.9945
N 7.2331 2.8518 4.3853
```

The 8 most intense peaks (2θ from 10° to 90°), low angle first:
| two_theta | d [Å] | intensity |
| --- | --- | --- |
| 10.51 | 8.421 | 20 |
| 30.51 | 2.930 | 17 |
| 31.44 | 2.845 | 43 |
| 31.71 | 2.822 | 100 |
| 33.35 | 2.686 | 28 |
| 44.35 | 2.042 | 26 |
| 46.15 | 1.967 | 24 |
| 47.84 | 1.901 | 19 |

***

Diffraction record for Dy2Zn3Cu12Rh. The powder XRD pattern is computed, not measured: it uses a structure optimized by DFT (GGA-PBE) and Cu Kα (weighted mean of Kα1 and Kα2).

Structural model:
```
18
Lattice="2.5575 1.4766 12.3425 -2.5575 1.4766 12.3425 0.0000 -2.9531 12.3425" Properties=species:S:1:pos:R:3 pbc="T T T"
Dy 0.0000 0.0000 5.3646
Dy 0.0000 0.0000 31.6628
Zn -1.2787 -0.7383 12.3425
Zn -1.2787 0.7383 24.6849
Zn 0.0000 1.4766 12.3425
Cu 0.0000 -1.5216 10.3030
Cu -1.3177 0.7608 10.3030
Cu -1.2743 -0.7357 16.3578
Cu -1.3177 -0.7608 26.7244
Cu 0.0000 -1.4715 20.6696
Cu -1.2743 0.7357 20.6696
Cu 1.2743 -0.7357 16.3578
Cu 0.0000 1.4715 16.3578
Cu 1.3177 0.7608 10.3030
Cu 1.2743 0.7357 20.6696
Cu 1.3177 -0.7608 26.7245
Cu 0.0000 1.5216 26.7245
Rh 0.0000 0.0000 18.5137
```

The 8 most intense peaks (2θ from 10° to 90°), low angle first:
| two_theta | d [Å] | intensity |
| --- | --- | --- |
| 31.49 | 2.841 | 60 |
| 33.43 | 2.680 | 47 |
| 35.86 | 2.504 | 75 |
| 38.09 | 2.363 | 44 |
| 39.69 | 2.271 | 46 |
| 41.94 | 2.154 | 56 |
| 45.40 | 1.998 | 100 |
| 74.15 | 1.279 | 38 |

***

Diffraction record for TlRu. The powder XRD pattern is computed, not measured: it uses a structure optimized by DFT (GGA-PBE) and Cu Kα (weighted mean of Kα1 and Kα2).

Structural model:
```
16
Lattice="6.8788 0.0000 0.0000 0.0000 6.8788 0.0000 0.0000 0.0000 6.9696" Properties=species:S:1:pos:R:3 pbc="T T T"
Tl 0.4747 1.5879 2.1265
Tl 1.5879 0.4747 4.8431
Tl 1.8515 3.9141 3.8689
Tl 2.9647 5.0273 6.5855
Tl 3.9141 1.8515 3.1007
Tl 5.0273 2.9647 0.3841
Tl 5.2909 6.4041 1.3583
Tl 6.4041 5.2909 5.6113
Ru 0.5892 4.5854 1.4210
Ru 1.1460 2.8502 6.6482
Ru 2.2934 6.2896 2.0638
Ru 2.8502 1.1460 0.3214
Ru 4.0286 5.7328 3.8062
Ru 4.5854 0.5892 5.5486
Ru 5.7328 4.0286 3.1634
Ru 6.2896 2.2934 4.9058
```

The 8 most intense peaks (2θ from 10° to 90°), low angle first:
| two_theta | d [Å] | intensity |
| --- | --- | --- |
| 28.72 | 3.109 | 66 |
| 29.01 | 3.078 | 46 |
| 31.80 | 2.814 | 100 |
| 36.96 | 2.432 | 43 |
| 39.06 | 2.306 | 91 |
| 39.23 | 2.296 | 68 |
| 41.46 | 2.178 | 81 |
| 43.15 | 2.096 | 54 |

***

Diffraction record for Tl2H3O2. The powder XRD pattern is computed, not measured: it uses a structure optimized by DFT (GGA-PBE) and Cu Kα (weighted mean of Kα1 and Kα2).

Structural model:
```
7
Lattice="3.9184 0.0000 0.0000 1.2223 3.7486 0.0000 0.6231 0.6288 8.3181" Properties=species:S:1:pos:R:3 pbc="T T T"
Tl 0.5065 0.3419 1.9705
Tl 5.2574 4.0354 6.3476
H 0.0000 0.0000 0.0000
H 2.0276 1.6741 4.5550
H 3.7362 2.7032 3.7631
O 2.0549 1.7048 5.5352
O 3.7089 2.6725 2.7829
```

The 8 most intense peaks (2θ from 10° to 90°), low angle first:
| two_theta | d [Å] | intensity |
| --- | --- | --- |
| 21.36 | 4.159 | 100 |
| 23.80 | 3.738 | 60 |
| 23.91 | 3.721 | 54 |
| 30.94 | 2.891 | 41 |
| 31.28 | 2.860 | 28 |
| 31.49 | 2.841 | 38 |
| 39.02 | 2.308 | 24 |
| 49.76 | 1.832 | 24 |

***

Diffraction record for Dy4Tl5Pd2. The powder XRD pattern is computed, not measured: it uses a structure optimized by DFT (GGA-PBE) and Cu Kα (weighted mean of Kα1 and Kα2).

Structural model:
```
11
Lattice="7.9396 0.0000 0.0000 0.0000 3.6577 0.0000 -0.6964 0.0000 9.6936" Properties=species:S:1:pos:R:3 pbc="T T T"
Dy 1.2942 0.0000 3.3770
Dy 1.0665 0.0000 8.9907
Dy 6.1767 0.0000 0.7029
Dy 5.9490 0.0000 6.3166
Tl 0.7469 1.8288 6.1734
Tl 3.5171 1.8288 1.6015
Tl 3.6216 1.8288 4.8468
Tl 3.7260 1.8288 8.0921
Tl 6.4962 1.8288 3.5202
Pd 0.5292 1.8288 1.2997
Pd 6.7140 1.8288 8.3939
```

The 8 most intense peaks (2θ from 10° to 90°), low angle first:
| two_theta | d [Å] | intensity |
| --- | --- | --- |
| 30.62 | 2.919 | 60 |
| 32.22 | 2.779 | 81 |
| 33.16 | 2.702 | 100 |
| 33.35 | 2.687 | 91 |
| 33.96 | 2.640 | 64 |
| 34.55 | 2.596 | 66 |
| 37.12 | 2.422 | 86 |
| 49.86 | 1.829 | 44 |

***

Diffraction record for Er4NiRh3. The powder XRD pattern is computed, not measured: it uses a structure optimized by DFT (GGA-PBE) and Cu Kα (weighted mean of Kα1 and Kα2).

Structural model:
```
8
Lattice="3.3383 0.0000 0.0000 0.0000 4.8263 0.0000 0.0000 0.0000 9.6414" Properties=species:S:1:pos:R:3 pbc="T T T"
Er 0.0000 0.0000 0.0000
Er 0.0000 0.0000 4.8207
Er 0.0000 2.4131 2.3860
Er 0.0000 2.4131 7.2553
Ni 1.6692 2.4131 0.0000
Rh 1.6692 0.0000 2.4081
Rh 1.6692 0.0000 7.2333
Rh 1.6692 2.4131 4.8207
```

The 8 most intense peaks (2θ from 10° to 90°), low angle first:
| two_theta | d [Å] | intensity |
| --- | --- | --- |
| 26.13 | 3.411 | 9 |
| 37.28 | 2.412 | 52 |
| 37.71 | 2.386 | 100 |
| 53.75 | 1.705 | 18 |
| 55.01 | 1.669 | 8 |
| 67.51 | 1.387 | 36 |
| 68.34 | 1.373 | 17 |
| 80.52 | 1.193 | 11 |

***

Diffraction record for Ho2ZnI2. The powder XRD pattern is computed, not measured: it uses a structure optimized by DFT (GGA-PBE) and Cu Kα (weighted mean of Kα1 and Kα2).

Structural model:
```
5
Lattice="2.0163 1.1641 12.0430 -2.0163 1.1641 12.0430 0.0000 -2.3282 12.0430" Properties=species:S:1:pos:R:3 pbc="T T T"
Ho 0.0000 0.0000 4.2191
Ho 0.0000 0.0000 31.9097
Zn 0.0000 0.0000 18.0644
I 0.0000 0.0000 9.8885
I 0.0000 0.0000 26.2404
```

The 8 most intense peaks (2θ from 10° to 90°), low angle first:
| two_theta | d [Å] | intensity |
| --- | --- | --- |
| 14.71 | 6.021 | 20 |
| 28.38 | 3.144 | 100 |
| 30.92 | 2.892 | 23 |
| 32.41 | 2.763 | 55 |
| 41.53 | 2.175 | 52 |
| 44.96 | 2.016 | 44 |
| 54.03 | 1.697 | 16 |
| 65.63 | 1.422 | 21 |